# 1
Structure and simulated X-ray diffraction stick pattern of Ta5W (a crystal structure in OQMD, relaxed with GGA-PBE; λ = 1.5418 Å (Cu Kα)).

Peak list (10 most intense, 5° ≤ 2θ ≤ 70°, by angle)
32.6 deg, rel. 276
36.9 deg, rel. 604
39.0 deg, rel. 1000
39.4 deg, rel. 861
42.5 deg, rel. 186
43.6 deg, rel. 198
61.0 deg, rel. 258
62.6 deg, rel. 256
67.7 deg, rel. 303
68.4 deg, rel. 380

Structural model:
a = 5.4883 Å, b = 5.4883 Å, c = 8.5165 Å
α = 90.00°, β = 90.00°, γ = 120.00°
Fractional positions:
Ta 0.1696 0.3392 0.2500
Ta 0.1696 0.8304 0.2500
Ta 0.3333 0.6667 0.5609
Ta 0.3333 0.6667 0.9391
Ta 0.3392 0.1696 0.7500
Ta 0.6608 0.8304 0.2500
Ta 0.6667 0.3333 0.0609
Ta 0.6667 0.3333 0.4391
Ta 0.8304 0.1696 0.7500
Ta 0.8304 0.6608 0.7500
W 0.0000 0.0000 0.0000
W 0.0000 0.0000 0.5000


# 2
Structure and simulated X-ray diffraction stick pattern of Ta3W2 (a crystal structure in OQMD, relaxed with GGA-PBE; λ = 1.5418 Å (Cu Kα)).

Peak list (10 most intense, 5° ≤ 2θ ≤ 70°, by angle)
33.9 deg, rel. 211
37.0 deg, rel. 783
38.1 deg, rel. 349
38.5 deg, rel. 336
39.6 deg, rel. 656
40.9 deg, rel. 1000
41.9 deg, rel. 464
64.7 deg, rel. 218
65.4 deg, rel. 253
66.2 deg, rel. 212

Structural model:
a = 10.0183 Å, b = 10.0183 Å, c = 5.2844 Å
α = 90.00°, β = 90.00°, γ = 90.00°
Fractional positions:
Ta 0.0000 0.0000 0.0000
Ta 0.0343 0.3682 0.5000
Ta 0.1318 0.5343 0.0000
Ta 0.1849 0.8151 0.2506
Ta 0.1849 0.8151 0.7494
Ta 0.3151 0.3151 0.2494
Ta 0.3151 0.3151 0.7506
Ta 0.3682 0.0343 0.5000
Ta 0.4657 0.8682 0.0000
Ta 0.5000 0.5000 0.5000
Ta 0.5343 0.1318 0.0000
Ta 0.6318 0.9657 0.5000
Ta 0.6849 0.6849 0.2494
Ta 0.6849 0.6849 0.7506
Ta 0.8151 0.1849 0.2506
Ta 0.8151 0.1849 0.7494
Ta 0.8682 0.4657 0.0000
Ta 0.9657 0.6318 0.5000
W 0.0646 0.2573 0.0000
W 0.1032 0.1032 0.5000
W 0.2427 0.5646 0.5000
W 0.2573 0.0646 0.0000
W 0.3968 0.6032 0.0000
W 0.4354 0.7573 0.5000
W 0.5646 0.2427 0.5000
W 0.6032 0.3968 0.0000
W 0.7427 0.9354 0.0000
W 0.7573 0.4354 0.5000
W 0.8968 0.8968 0.5000
W 0.9354 0.7427 0.0000


# 3
Structure and simulated X-ray diffraction stick pattern of Ta17W12 (a crystal structure in OQMD, relaxed with GGA-PBE; λ = 1.5418 Å (Cu Kα)).

Peak list (10 most intense, 5° ≤ 2θ ≤ 70°, by angle)
35.5 deg, rel. 57
37.7 deg, rel. 1000
41.9 deg, rel. 296
43.9 deg, rel. 104
45.7 deg, rel. 135
60.8 deg, rel. 26
63.8 deg, rel. 59
65.2 deg, rel. 95
68.1 deg, rel. 283
69.6 deg, rel. 46

Structural model:
a = 8.7577 Å, b = 8.7577 Å, c = 8.7577 Å
α = 109.47°, β = 109.47°, γ = 109.47°
Fractional positions:
Ta 0.0000 0.0000 0.0000
Ta 0.0000 0.0000 0.6336
Ta 0.0000 0.3999 0.6784
Ta 0.0000 0.6336 0.0000
Ta 0.0000 0.6784 0.3999
Ta 0.2785 0.6001 0.6001
Ta 0.3216 0.3216 0.7215
Ta 0.3216 0.7215 0.3216
Ta 0.3664 0.3664 0.3664
Ta 0.3999 0.0000 0.6784
Ta 0.3999 0.6784 0.0000
Ta 0.6001 0.2785 0.6001
Ta 0.6001 0.6001 0.2785
Ta 0.6336 0.0000 0.0000
Ta 0.6784 0.0000 0.3999
Ta 0.6784 0.3999 0.0000
Ta 0.7215 0.3216 0.3216
W 0.0000 0.1853 0.3695
W 0.0000 0.3695 0.1853
W 0.1842 0.8147 0.8147
W 0.1853 0.0000 0.3695
W 0.1853 0.3695 0.0000
W 0.3695 0.0000 0.1853
W 0.3695 0.1853 0.0000
W 0.6305 0.6305 0.8158
W 0.6305 0.8158 0.6305
W 0.8147 0.1842 0.8147
W 0.8147 0.8147 0.1842
W 0.8158 0.6305 0.6305


# 4
Structure and simulated X-ray diffraction stick pattern of Ta9W4 (a crystal structure in OQMD, relaxed with GGA-PBE; λ = 1.5418 Å (Cu Kα)).

Peak list (10 most intense, 5° ≤ 2θ ≤ 70°, by angle)
33.2 deg, rel. 339
37.5 deg, rel. 282
38.6 deg, rel. 1000
40.4 deg, rel. 447
40.7 deg, rel. 162
41.9 deg, rel. 414
62.8 deg, rel. 160
64.2 deg, rel. 234
69.6 deg, rel. 270
70.0 deg, rel. 209

Structural model:
a = 9.8179 Å, b = 9.8179 Å, c = 9.8179 Å
α = 31.95°, β = 31.95°, γ = 31.95°
Fractional positions:
Ta 0.0000 0.0000 0.0000
Ta 0.0908 0.0908 0.5852
Ta 0.0908 0.5852 0.0908
Ta 0.4148 0.9092 0.9092
Ta 0.4534 0.4534 0.4534
Ta 0.5466 0.5466 0.5466
Ta 0.5852 0.0908 0.0908
Ta 0.9092 0.4148 0.9092
Ta 0.9092 0.9092 0.4148
W 0.1677 0.1677 0.1677
W 0.3529 0.3529 0.3529
W 0.6471 0.6471 0.6471
W 0.8323 0.8323 0.8323


# 5
Structure and simulated X-ray diffraction stick pattern of Ta10W3 (a crystal structure in OQMD, relaxed with GGA-PBE; λ = 1.5418 Å (Cu Kα)).

Peak list (10 most intense, 5° ≤ 2θ ≤ 70°, by angle)
33.2 deg, rel. 480
37.0 deg, rel. 414
38.4 deg, rel. 1000
38.7 deg, rel. 484
39.9 deg, rel. 649
41.8 deg, rel. 572
62.9 deg, rel. 240
63.9 deg, rel. 331
69.1 deg, rel. 250
69.8 deg, rel. 384

Structural model:
a = 9.9662 Å, b = 9.9662 Å, c = 9.9662 Å
α = 31.38°, β = 31.38°, γ = 31.38°
Fractional positions:
Ta 0.0873 0.5907 0.5907
Ta 0.1482 0.1482 0.1482
Ta 0.3324 0.3324 0.3324
Ta 0.4093 0.4093 0.9127
Ta 0.4093 0.9127 0.4093
Ta 0.5907 0.0873 0.5907
Ta 0.5907 0.5907 0.0873
Ta 0.6676 0.6676 0.6676
Ta 0.8518 0.8518 0.8518
Ta 0.9127 0.4093 0.4093
W 0.0447 0.0447 0.0447
W 0.5000 0.5000 0.5000
W 0.9553 0.9553 0.9553


# 6
Structure and simulated X-ray diffraction stick pattern of Ta2W3 (a crystal structure in OQMD, relaxed with GGA-PBE; λ = 1.5418 Å (Cu Kα)).

Peak list (10 most intense, 5° ≤ 2θ ≤ 70°, by angle)
34.3 deg, rel. 203
37.2 deg, rel. 778
38.4 deg, rel. 339
39.0 deg, rel. 347
40.0 deg, rel. 645
41.2 deg, rel. 1000
42.2 deg, rel. 464
65.3 deg, rel. 235
66.2 deg, rel. 250
68.6 deg, rel. 165

Structural model:
a = 9.9547 Å, b = 9.9547 Å, c = 5.2217 Å
α = 90.00°, β = 90.00°, γ = 90.00°
Fractional positions:
Ta 0.0341 0.3697 0.0000
Ta 0.1027 0.1027 0.0000
Ta 0.1303 0.5341 0.5000
Ta 0.3697 0.0341 0.0000
Ta 0.3973 0.6027 0.5000
Ta 0.4659 0.8697 0.5000
Ta 0.5341 0.1303 0.5000
Ta 0.6027 0.3973 0.5000
Ta 0.6303 0.9659 0.0000
Ta 0.8697 0.4659 0.5000
Ta 0.8973 0.8973 0.0000
Ta 0.9659 0.6303 0.0000
W 0.0000 0.0000 0.5000
W 0.0641 0.2553 0.5000
W 0.1858 0.8142 0.2491
W 0.1858 0.8142 0.7509
W 0.2447 0.5641 0.0000
W 0.2553 0.0641 0.5000
W 0.3142 0.3142 0.2509
W 0.3142 0.3142 0.7491
W 0.4359 0.7553 0.0000
W 0.5000 0.5000 0.0000
W 0.5641 0.2447 0.0000
W 0.6858 0.6858 0.2509
W 0.6858 0.6858 0.7491
W 0.7447 0.9359 0.5000
W 0.7553 0.4359 0.0000
W 0.8142 0.1858 0.2491
W 0.8142 0.1858 0.7509
W 0.9359 0.7447 0.5000


# 7
Structure and simulated X-ray diffraction stick pattern of Ta24W5 (a crystal structure in OQMD, relaxed with GGA-PBE; λ = 1.5418 Å (Cu Kα)).

Peak list (10 most intense, 5° ≤ 2θ ≤ 70°, by angle)
35.2 deg, rel. 62
37.4 deg, rel. 1000
41.5 deg, rel. 302
43.5 deg, rel. 106
45.4 deg, rel. 133
60.2 deg, rel. 28
63.2 deg, rel. 56
64.6 deg, rel. 98
67.5 deg, rel. 279
68.9 deg, rel. 47

Structural model:
a = 8.8302 Å, b = 8.8302 Å, c = 8.8302 Å
α = 109.47°, β = 109.47°, γ = 109.47°
Fractional positions:
Ta 0.0000 0.1859 0.3708
Ta 0.0000 0.3708 0.1859
Ta 0.0000 0.4031 0.6816
Ta 0.0000 0.6816 0.4031
Ta 0.1849 0.8141 0.8141
Ta 0.1859 0.0000 0.3708
Ta 0.1859 0.3708 0.0000
Ta 0.2784 0.5969 0.5969
Ta 0.3184 0.3184 0.7216
Ta 0.3184 0.7216 0.3184
Ta 0.3708 0.0000 0.1859
Ta 0.3708 0.1859 0.0000
Ta 0.4031 0.0000 0.6816
Ta 0.4031 0.6816 0.0000
Ta 0.5969 0.2784 0.5969
Ta 0.5969 0.5969 0.2784
Ta 0.6292 0.6292 0.8151
Ta 0.6292 0.8151 0.6292
Ta 0.6816 0.0000 0.4031
Ta 0.6816 0.4031 0.0000
Ta 0.7216 0.3184 0.3184
Ta 0.8141 0.1849 0.8141
Ta 0.8141 0.8141 0.1849
Ta 0.8151 0.6292 0.6292
W 0.0000 0.0000 0.0000
W 0.0000 0.0000 0.6321
W 0.0000 0.6321 0.0000
W 0.3679 0.3679 0.3679
W 0.6321 0.0000 0.0000


# 8
Structure and simulated X-ray diffraction stick pattern of Ta17W12 (a crystal structure in OQMD, relaxed with GGA-PBE; λ = 1.5418 Å (Cu Kα)).

Peak list (10 most intense, 5° ≤ 2θ ≤ 70°, by angle)
35.6 deg, rel. 64
37.8 deg, rel. 1000
42.0 deg, rel. 283
44.0 deg, rel. 100
45.9 deg, rel. 161
60.9 deg, rel. 25
63.9 deg, rel. 60
65.4 deg, rel. 115
68.3 deg, rel. 253
69.7 deg, rel. 51

Structural model:
a = 8.7389 Å, b = 8.7389 Å, c = 8.7389 Å
α = 109.47°, β = 109.47°, γ = 109.47°
Fractional positions:
Ta 0.0000 0.0000 0.0000
Ta 0.0000 0.0000 0.6235
Ta 0.0000 0.1938 0.3806
Ta 0.0000 0.3806 0.1938
Ta 0.0000 0.6235 0.0000
Ta 0.1868 0.8062 0.8062
Ta 0.1938 0.0000 0.3806
Ta 0.1938 0.3806 0.0000
Ta 0.3765 0.3765 0.3765
Ta 0.3806 0.0000 0.1938
Ta 0.3806 0.1938 0.0000
Ta 0.6194 0.6194 0.8132
Ta 0.6194 0.8132 0.6194
Ta 0.6235 0.0000 0.0000
Ta 0.8062 0.1868 0.8062
Ta 0.8062 0.8062 0.1868
Ta 0.8132 0.6194 0.6194
W 0.0000 0.3997 0.6791
W 0.0000 0.6791 0.3997
W 0.2794 0.6003 0.6003
W 0.3209 0.3209 0.7206
W 0.3209 0.7206 0.3209
W 0.3997 0.0000 0.6791
W 0.3997 0.6791 0.0000
W 0.6003 0.2794 0.6003
W 0.6003 0.6003 0.2794
W 0.6791 0.0000 0.3997
W 0.6791 0.3997 0.0000
W 0.7206 0.3209 0.3209


# 9
Structure and simulated X-ray diffraction stick pattern of Ta5W (a crystal structure in OQMD, relaxed with GGA-PBE; λ = 1.5418 Å (Cu Kα)).

Peak list (10 most intense, 5° ≤ 2θ ≤ 70°, by angle)
32.9 deg, rel. 273
36.6 deg, rel. 455
39.1 deg, rel. 1000
39.6 deg, rel. 639
41.4 deg, rel. 401
41.9 deg, rel. 192
61.1 deg, rel. 192
62.9 deg, rel. 252
67.3 deg, rel. 228
68.9 deg, rel. 292

Structural model:
a = 5.4499 Å, b = 5.4499 Å, c = 17.2414 Å
α = 90.00°, β = 90.00°, γ = 120.00°
Fractional positions:
Ta 0.0000 0.0000 0.0951
Ta 0.0000 0.0000 0.4049
Ta 0.0000 0.0000 0.5951
Ta 0.0000 0.0000 0.9049
Ta 0.0000 0.5000 0.0000
Ta 0.0000 0.5000 0.5000
Ta 0.1640 0.3280 0.2500
Ta 0.1640 0.8360 0.2500
Ta 0.3280 0.1640 0.7500
Ta 0.3333 0.6667 0.6565
Ta 0.3333 0.6667 0.8435
Ta 0.5000 0.0000 0.0000
Ta 0.5000 0.0000 0.5000
Ta 0.5000 0.5000 0.0000
Ta 0.5000 0.5000 0.5000
Ta 0.6667 0.3333 0.1565
Ta 0.6667 0.3333 0.3435
Ta 0.6720 0.8360 0.2500
Ta 0.8360 0.1640 0.7500
Ta 0.8360 0.6720 0.7500
W 0.3333 0.6667 0.1239
W 0.3333 0.6667 0.3761
W 0.6667 0.3333 0.6239
W 0.6667 0.3333 0.8761


# 10
Structure and simulated X-ray diffraction stick pattern of TaW4 (a crystal structure in OQMD, relaxed with GGA-PBE; λ = 1.5418 Å (Cu Kα)).

Peak list (10 most intense, 5° ≤ 2θ ≤ 70°, by angle)
34.7 deg, rel. 197
37.6 deg, rel. 734
38.7 deg, rel. 339
39.4 deg, rel. 351
40.4 deg, rel. 594
41.6 deg, rel. 1000
42.6 deg, rel. 424
66.0 deg, rel. 240
66.9 deg, rel. 248
69.3 deg, rel. 156

Structural model:
a = 9.8711 Å, b = 9.8711 Å, c = 5.1679 Å
α = 90.00°, β = 90.00°, γ = 90.00°
Fractional positions:
Ta 0.0000 0.0000 0.0000
Ta 0.1057 0.1057 0.5000
Ta 0.3943 0.6057 0.0000
Ta 0.5000 0.5000 0.5000
Ta 0.6057 0.3943 0.0000
Ta 0.8943 0.8943 0.5000
W 0.0314 0.3730 0.5000
W 0.0616 0.2598 0.0000
W 0.1270 0.5314 0.0000
W 0.1871 0.8129 0.2504
W 0.1871 0.8129 0.7496
W 0.2402 0.5616 0.5000
W 0.2598 0.0616 0.0000
W 0.3129 0.3129 0.2496
W 0.3129 0.3129 0.7504
W 0.3730 0.0314 0.5000
W 0.4384 0.7598 0.5000
W 0.4686 0.8730 0.0000
W 0.5314 0.1270 0.0000
W 0.5616 0.2402 0.5000
W 0.6270 0.9686 0.5000
W 0.6871 0.6871 0.2496
W 0.6871 0.6871 0.7504
W 0.7402 0.9384 0.0000
W 0.7598 0.4384 0.5000
W 0.8129 0.1871 0.2504
W 0.8129 0.1871 0.7496
W 0.8730 0.4686 0.0000
W 0.9384 0.7402 0.0000
W 0.9686 0.6270 0.5000